This entry pairs a crystal structure of SmHo3 with its computed X-ray diffraction stick pattern. Radiation: λ = 1.5418 Å (Cu Kα). Structure: the GGA-PBE geometry in Alexandria.
Neutral-atom scattering factors, no anomalous dispersion.

Most intense lines, 2θ = 15–90°, low angle first:
2θ 28.4, rel. 239, (0 0 2); 2θ 31.7, rel. 240, (0 2 0); 2θ 32.6, rel. 1000, (1 1 1); 2θ 43.1, rel. 156, (0 2 2); 2θ 50.3, rel. 132, (1 0 3); 2θ 57.1, rel. 205, (1 3 1); 2θ 60.7, rel. 226, (2 2 0); 2θ 61.3, rel. 165, (0 1 4); 2θ 83.2, rel. 141, (2 1 4); 2θ 87.6, rel. 84, (2 4 0)

Atomic structure:
```
data_SmHo3
_symmetry_space_group_name_H-M 'P m m 2'
_symmetry_Int_Tables_number 25
_cell_length_a 3.627
_cell_length_b 5.643
_cell_length_c 6.278
_cell_angle_alpha 90.00
_cell_angle_beta 90.00
_cell_angle_gamma 90.00
loop_
_symmetry_equiv_pos_as_xyz
'x,y,z'
'-x,-y,z'
'-x,y,z'
'x,-y,z'
loop_
_atom_site_label
_atom_site_fract_x
_atom_site_fract_y
_atom_site_fract_z
Sm1 0.000 0.000 0.000
Ho1 0.000 0.500 0.664
Ho2 0.500 0.000 0.498
Ho3 0.500 0.500 0.166
```